Sr2LiP2Au: calculated powder diffractogram (a wavelength of 1.5418 Å), based on a DFT-relaxed cell (GGA-PBE, OQMD).
Lines closer than 0.1° are merged.

Structure:
a b c (Å): 4.3568 4.3568 8.3275
angles (deg): 90.00 90.00 120.00
Space group P-6m2 (No. 187)
Inequivalent atoms, fractional coordinates:
Sr (0.0000, 0.0000, 0.2460) x2
Li (0.6667, 0.3333, 0.0000) x1
P (0.3333, 0.6667, 0.0000) x1
P (0.6667, 0.3333, 0.5000) x1
Au (0.3333, 0.6667, 0.5000) x1

Principal peaks in the range 10° ≤ 2θ ≤ 90°, most intense first:
2θ = 32.0°, I 100.0, hkl 1 0 2; 2θ = 10.6°, I 57.9, hkl 0 0 1; 2θ = 41.5°, I 38.6, hkl 1 1 0; 2θ = 25.9°, I 33.5, hkl 1 0 1; 2θ = 23.6°, I 25.6, hkl 1 0 0; 2θ = 61.6°, I 23.7, hkl 1 1 4; 2θ = 53.3°, I 23.4, hkl 2 0 2; 2θ = 69.7°, I 21.2, hkl 2 1 2; 2θ = 42.9°, I 13.1, hkl 1 1 1; 2θ = 43.5°, I 11.2, hkl 0 0 4



TbDy2Pd3Pb3: calculated powder diffractogram (a wavelength of 1.5418 Å), based on a DFT-relaxed cell (GGA-PBE, OQMD).
Lines closer than 0.1° are merged.

Structure:
a b c (Å): 3.877 13.588 7.839
angles (deg): 90.00 90.00 90.00
Space group Amm2 (No. 38)
Inequivalent atoms, fractional coordinates:
Tb (0.000, 0.000, 0.000) x2
Dy (0.000, 0.201, 0.398) x4
Pd (0.000, 0.000, 0.598) x2
Pd (0.500, 0.167, 0.099) x4
Pb (0.500, 0.000, 0.332) x2
Pb (0.500, 0.133, 0.732) x4

Principal peaks in the range 10° ≤ 2θ ≤ 90°, most intense first:
2θ = 32.5°, I 100.0, hkl 1 3 1; 2θ = 35.1°, I 59.7, hkl 1 2 2; 2θ = 35.0°, I 47.7, hkl 0 5 1; 2θ = 39.8°, I 37.9, hkl 0 6 0; 2θ = 64.5°, I 31.1, hkl 1 8 2; 2θ = 42.2°, I 22.1, hkl 1 5 1; 2θ = 59.8°, I 20.7, hkl 2 5 1; 2θ = 46.9°, I 19.6, hkl 2 0 0; 2θ = 63.1°, I 19.6, hkl 2 6 0; 2θ = 83.0°, I 10.1, hkl 1 11 1



K2Re3C2Se5N2: calculated powder diffractogram (a wavelength of 1.5418 Å), based on a DFT-relaxed cell (GGA-PBE, OQMD).
Lines closer than 0.1° are merged.

Structure:
a b c (Å): 9.776 13.217 12.366
angles (deg): 90.00 123.09 90.00
Space group P2_1/c (No. 14)
Inequivalent atoms, fractional coordinates:
K (0.094, 0.171, 0.002) x4
K (0.270, 0.560, 0.327) x4
Re (0.312, 0.530, 0.999) x4
Re (0.381, 0.516, 0.820) x4
Re (0.447, 0.138, 0.481) x4
C (0.252, 0.542, 0.622) x4
C (0.392, 0.209, 0.960) x4
Se (0.051, 0.580, 0.989) x4
Se (0.155, 0.091, 0.308) x4
Se (0.255, 0.676, 0.846) x4
Se (0.381, 0.117, 0.652) x4
Se (0.487, 0.647, 0.191) x4
N (0.176, 0.559, 0.510) x4
N (0.362, 0.121, 0.949) x4

Principal peaks in the range 10° ≤ 2θ ≤ 90°, most intense first:
2θ = 10.8°, I 100.0, hkl 0 1 1; 2θ = 11.6°, I 36.2, hkl 1 1 -1; 2θ = 13.4°, I 13.9, hkl 0 2 0; 2θ = 43.0°, I 7.0, hkl 3 3 -5; 2θ = 42.5°, I 6.3, hkl 3 4 -4; 2θ = 34.9°, I 6.1, hkl 3 2 -4; 2θ = 40.1°, I 5.3, hkl 2 4 -4; 2θ = 44.1°, I 4.3, hkl 2 5 1; 2θ = 30.7°, I 4.3, hkl 2 3 -3; 2θ = 14.4°, I 4.2, hkl 1 0 -2



NbAgSO: calculated powder diffractogram (a wavelength of 1.5418 Å), based on a DFT-relaxed cell (GGA-PBE, OQMD).
Lines closer than 0.1° are merged.

Structure:
a b c (Å): 5.268 5.289 10.158
angles (deg): 90.00 93.41 90.00
Space group P2_1 (No. 4)
Inequivalent atoms, fractional coordinates:
Nb (0.041, 0.000, 0.411) x2
Nb (0.439, 0.398, 0.410) x2
Ag (0.291, 0.654, 0.002) x2
Ag (0.428, 0.988, 0.215) x2
S (0.161, 0.640, 0.230) x2
S (0.226, 0.760, 0.767) x2
O (0.250, 0.695, 0.499) x2
O (0.263, 0.202, 0.563) x2

Principal peaks in the range 10° ≤ 2θ ≤ 90°, most intense first:
2θ = 35.1°, I 100.0, hkl 1 1 -3; 2θ = 30.3°, I 82.2, hkl 1 1 2; 2θ = 25.8°, I 38.3, hkl 1 1 1; 2θ = 23.9°, I 32.6, hkl 1 1 0; 2θ = 44.7°, I 29.2, hkl 0 0 5; 2θ = 18.9°, I 28.2, hkl 0 1 1; 2θ = 48.8°, I 27.1, hkl 2 2 0; 2θ = 36.6°, I 23.9, hkl 1 1 3; 2θ = 34.7°, I 23.5, hkl 2 0 -1; 2θ = 39.4°, I 22.0, hkl 1 2 1



Q: Number 4 is which compound?
A: NbAgSO